Starting from a DFT-relaxed cell (PBE+U, Alexandria), the powder diffraction line list of Li17Cr2O12 was simulated for Cu Kα.
Lines closer than 0.1° are merged.

The 6 most intense peaks (2θ from 10° to 90°), in order of falling intensity:
hkl, 2θ (°), d [Å], Rel. int.
0 1 -1, 19.7, 4.504, 100
1 0 -3, 37.6, 2.392, 82
0 0 2, 22.2, 3.999, 63
-1 1 4, 49.4, 1.846, 57
0 1 1, 17.6, 5.040, 51
1 0 1, 19.6, 4.535, 46

Structural model:
abc: 5.4851 5.9402 8.0500
angles: 83.19 89.61 89.55
Sites, in units of the cell vectors:
Li (0.0000, 0.0000, 0.0000)
Li (0.0042, 0.3073, 0.6521)
Li (0.1226, 0.3813, 0.9213)
Li (0.1685, 0.7054, 0.6305)
Li (0.2805, 0.7550, 0.9167)
Li (0.3230, 0.4374, 0.2132)
Li (0.3442, 0.0926, 0.5830)
Li (0.4556, 0.4669, 0.4910)
Li (0.4620, 0.1407, 0.8478)
Li (0.5128, 0.7870, 0.1900)
Li (0.6482, 0.1986, 0.1281)
Li (0.6516, 0.8468, 0.4565)
Li (0.6634, 0.8531, 0.9484)
Li (0.7873, 0.2591, 0.4064)
Li (0.8320, 0.9555, 0.7093)
Li (0.8560, 0.5741, 0.0896)
Li (0.9824, 0.6163, 0.3567)
Cr (0.1575, 0.0286, 0.2914)
Cr (0.6486, 0.5287, 0.7826)
O (0.0023, 0.3195, 0.2115)
O (0.0102, 0.0343, 0.5107)
O (0.3033, 0.7298, 0.3686)
O (0.3249, 0.0205, 0.0633)
O (0.3289, 0.3818, 0.7110)
O (0.4570, 0.1895, 0.3624)
O (0.4958, 0.8515, 0.7264)
O (0.5169, 0.5485, 0.0264)
O (0.7881, 0.5280, 0.5456)
O (0.8085, 0.2099, 0.8578)
O (0.8511, 0.8647, 0.2035)
O (0.9540, 0.6976, 0.8637)